No. 1
This entry pairs a crystal structure of K2HS2NO6 with its theoretical X-ray powder pattern. Radiation: Cu Kα X-rays. Structure: the PBE geometry in Alexandria.

```
data_K2HS2NO6
_chemical_formula_sum 'K8 H4 S8 N4 O24'
_space_group_name_H-M_alt 'C 1 c 1'
_space_group_IT_number 9
_cell_length_a 13.172
_cell_length_b 7.618
_cell_length_c 7.345
_cell_angle_alpha 90.00
_cell_angle_beta 94.70
_cell_angle_gamma 90.00
loop_
_space_group_symop_operation_xyz
'x,y,z'
'x,-y,z+1/2'
'x+1/2,y+1/2,z'
'x+1/2,-y+1/2,z+1/2'
loop_
_atom_site_label
_atom_site_type_symbol
_atom_site_fract_x
_atom_site_fract_y
_atom_site_fract_z
K1 K 0.000 0.156 0.000
K2 K 0.300 0.166 0.826
H1 H 0.132 0.476 0.814
S1 S 0.058 0.328 0.497
S2 S 0.251 0.303 0.306
N1 N 0.156 0.418 0.395
O1 O 0.014 0.184 0.384
O2 O 0.102 0.265 0.677
O3 O 0.206 0.204 0.147
O4 O 0.291 0.187 0.454
O5 O 0.321 0.442 0.261
O6 O 0.489 0.023 0.009
```

Largest 8 diffraction maxima, by angle, 2θ = 10–90°:
- 23.37 deg, rel. 60
- 26.38 deg, rel. 79
- 26.90 deg, rel. 90
- 27.19 deg, rel. 100
- 28.89 deg, rel. 42
- 30.20 deg, rel. 33
- 37.34 deg, rel. 43
- 47.26 deg, rel. 31

No. 2
This entry pairs a crystal structure of K2HS2NO6 with its theoretical X-ray powder pattern. Radiation: Cu Kα X-rays. Structure: the PBE geometry in Alexandria.

```
data_K2HS2NO6
_chemical_formula_sum 'K4 H2 S4 N2 O12'
_space_group_name_H-M_alt 'P 1 c 1'
_space_group_IT_number 7
_cell_length_a 7.270
_cell_length_b 7.676
_cell_length_c 7.304
_cell_angle_alpha 90.00
_cell_angle_beta 111.73
_cell_angle_gamma 90.00
loop_
_space_group_symop_operation_xyz
'x,y,z'
'x,-y,z+1/2'
loop_
_atom_site_label
_atom_site_type_symbol
_atom_site_fract_x
_atom_site_fract_y
_atom_site_fract_z
K1 K 0.000 0.177 0.000
K2 K 0.583 0.252 0.425
H1 H 0.246 0.480 0.814
S1 S 0.106 0.315 0.543
S2 S 0.474 0.261 0.913
N1 N 0.297 0.386 0.744
O1 O 0.001 0.173 0.600
O2 O 0.195 0.257 0.403
O3 O 0.377 0.142 0.006
O4 O 0.578 0.170 0.803
O5 O 0.593 0.394 0.049
O6 O 0.987 0.473 0.482
```

Largest 8 diffraction maxima, by angle, 2θ = 10–90°:
- 23.18 deg, rel. 100
- 24.62 deg, rel. 36
- 26.27 deg, rel. 82
- 26.40 deg, rel. 77
- 27.36 deg, rel. 42
- 27.55 deg, rel. 40
- 35.36 deg, rel. 56
- 35.76 deg, rel. 37

No. 3
This entry pairs a crystal structure of K3H2S2NO7 with its theoretical X-ray powder pattern. Radiation: Cu Kα X-rays. Structure: the PBE geometry in Alexandria.

```
data_K3H2S2NO7
_chemical_formula_sum 'K6 H4 S4 N2 O14'
_space_group_name_H-M_alt 'P -1'
_space_group_IT_number 2
_cell_length_a 6.994
_cell_length_b 8.053
_cell_length_c 8.347
_cell_angle_alpha 95.79
_cell_angle_beta 106.03
_cell_angle_gamma 98.25
loop_
_space_group_symop_operation_xyz
'x,y,z'
'-x,-y,-z'
loop_
_atom_site_label
_atom_site_type_symbol
_atom_site_fract_x
_atom_site_fract_y
_atom_site_fract_z
K1 K 0.178 0.367 0.178
K2 K 0.190 0.744 0.556
K3 K 0.298 0.918 0.154
H1 H 0.204 0.486 0.848
H2 H 0.375 0.647 0.940
S1 S 0.197 0.138 0.813
S2 S 0.361 0.265 0.567
N1 N 0.263 0.108 0.644
O1 O 0.060 0.266 0.804
O2 O 0.091 0.969 0.826
O3 O 0.221 0.386 0.526
O4 O 0.229 0.609 0.887
O5 O 0.377 0.196 0.966
O6 O 0.392 0.182 0.411
O7 O 0.442 0.652 0.312
```

Largest 8 diffraction maxima, by angle, 2θ = 10–90°:
- 16.99 deg, rel. 35
- 26.70 deg, rel. 75
- 26.95 deg, rel. 63
- 29.49 deg, rel. 100
- 29.62 deg, rel. 44
- 32.42 deg, rel. 35
- 32.54 deg, rel. 33
- 33.90 deg, rel. 34

No. 4
This entry pairs a crystal structure of K3H2S2NO7 with its theoretical X-ray powder pattern. Radiation: Cu Kα X-rays. Structure: the PBE geometry in Alexandria.

```
data_K3H2S2NO7
_chemical_formula_sum 'K6 H4 S4 N2 O14'
_space_group_name_H-M_alt 'P -1'
_space_group_IT_number 2
_cell_length_a 6.823
_cell_length_b 8.034
_cell_length_c 8.502
_cell_angle_alpha 99.12
_cell_angle_beta 90.23
_cell_angle_gamma 104.29
loop_
_space_group_symop_operation_xyz
'x,y,z'
'-x,-y,-z'
loop_
_atom_site_label
_atom_site_type_symbol
_atom_site_fract_x
_atom_site_fract_y
_atom_site_fract_z
K1 K 0.181 0.058 0.267
K2 K 0.181 0.669 0.933
K3 K 0.287 0.654 0.437
H1 H 0.263 0.288 0.029
H2 H 0.391 0.443 0.156
S1 S 0.195 0.310 0.655
S2 S 0.357 0.063 0.776
N1 N 0.256 0.125 0.630
O1 O 0.032 0.312 0.770
O2 O 0.121 0.320 0.494
O3 O 0.228 0.066 0.918
O4 O 0.252 0.386 0.112
O5 O 0.365 0.882 0.714
O6 O 0.374 0.459 0.709
O7 O 0.436 0.825 0.182
```

Largest 8 diffraction maxima, by angle, 2θ = 10–90°:
- 16.89 deg, rel. 49
- 25.83 deg, rel. 93
- 27.00 deg, rel. 71
- 27.28 deg, rel. 39
- 28.40 deg, rel. 60
- 28.83 deg, rel. 100
- 34.27 deg, rel. 50
- 43.08 deg, rel. 39